No. 1
Diffraction record for ScNbTcHg2. The powder X-ray diffraction pattern is theoretical, not measured: it uses a GGA-PBE-relaxed structure and Cu Ka.
Kinematic intensities with the Lorentz-polarization factor, no thermal factor.

Peak list (10 most intense, 5 to 70 degrees two-theta, sorted by position)
- 4.455 Å, 19.93 deg, I = 15, (0 0 1)
- 2.811 Å, 31.83 deg, I = 100, (1 1 1)
- 2.563 Å, 35.01 deg, I = 53, (2 0 0)
- 2.227 Å, 40.50 deg, I = 18, (0 0 2)
- 2.221 Å, 40.61 deg, I = 11, (2 0 1)
- 1.812 Å, 50.36 deg, I = 19, (2 2 0)
- 1.681 Å, 54.60 deg, I = 34, (2 0 2)
- 1.523 Å, 60.82 deg, I = 32, (3 1 1)
- 1.406 Å, 66.52 deg, I = 16, (2 2 2)
- 1.374 Å, 68.26 deg, I = 11, (1 1 3)

```
data_ScNbTcHg2
_chemical_formula_sum 'Sc1 Nb1 Tc1 Hg2'
_symmetry_space_group_name_H-M 'P 4/m m m'
_symmetry_Int_Tables_number 123
_symmetry_space_group_name_Hall '-P 4 2'
_cell_length_a 5.125
_cell_length_b 5.125
_cell_length_c 4.455
_cell_angle_alpha 90.00
_cell_angle_beta 90.00
_cell_angle_gamma 90.00
loop_
_atom_site_label
_atom_site_type_symbol
_atom_site_fract_x
_atom_site_fract_y
_atom_site_fract_z
Sc1 Sc 0.000 0.000 0.000
Nb1 Nb 0.500 0.500 0.500
Tc1 Tc 0.000 0.000 0.500
Hg1 Hg 0.000 0.500 0.000
```



No. 2
Diffraction record for Ce5NiPb3. The powder X-ray diffraction pattern is theoretical, not measured: it uses a GGA-PBE-relaxed structure and Cu Ka.
Kinematic intensities with the Lorentz-polarization factor, no thermal factor.

Peak list (10 most intense, 5 to 70 degrees two-theta, sorted by position)
- 3.244 Å, 27.50 deg, I = 19, (0 0 2)
- 3.136 Å, 28.47 deg, I = 14, (2 1 0)
- 2.823 Å, 31.69 deg, I = 100, (2 1 1)
- 2.765 Å, 32.37 deg, I = 54, (3 0 0)
- 2.686 Å, 33.36 deg, I = 81, (1 1 2)
- 2.169 Å, 41.65 deg, I = 23, (3 1 1)
- 1.927 Å, 47.17 deg, I = 18, (2 2 2)
- 1.780 Å, 51.32 deg, I = 26, (2 1 3)
- 1.477 Å, 62.92 deg, I = 19, (5 0 2)
- 1.399 Å, 66.87 deg, I = 13, (3 0 4)

```
data_Ce5NiPb3
_chemical_formula_sum 'Ce10 Ni2 Pb6'
_symmetry_space_group_name_H-M 'P 63/m c m'
_symmetry_Int_Tables_number 193
_symmetry_space_group_name_Hall '-P 6c 2'
_cell_length_a 9.5794
_cell_length_b 9.5794
_cell_length_c 6.4880
_cell_angle_alpha 90.00
_cell_angle_beta 90.00
_cell_angle_gamma 120.00
loop_
_atom_site_label
_atom_site_type_symbol
_atom_site_fract_x
_atom_site_fract_y
_atom_site_fract_z
Ce1 Ce 0.0000 0.2428 0.2500
Ce2 Ce 0.3333 0.6667 0.0000
Ni1 Ni 0.0000 0.0000 0.0000
Pb1 Pb 0.0000 0.3934 0.7500
```



Please write out number 1 again, unchanged.
Diffraction record for ScNbTcHg2. The powder X-ray diffraction pattern is theoretical, not measured: it uses a GGA-PBE-relaxed structure and Cu Ka.
Kinematic intensities with the Lorentz-polarization factor, no thermal factor.

Peak list (10 most intense, 5 to 70 degrees two-theta, sorted by position)
- 4.455 Å, 19.93 deg, I = 15, (0 0 1)
- 2.811 Å, 31.83 deg, I = 100, (1 1 1)
- 2.563 Å, 35.01 deg, I = 53, (2 0 0)
- 2.227 Å, 40.50 deg, I = 18, (0 0 2)
- 2.221 Å, 40.61 deg, I = 11, (2 0 1)
- 1.812 Å, 50.36 deg, I = 19, (2 2 0)
- 1.681 Å, 54.60 deg, I = 34, (2 0 2)
- 1.523 Å, 60.82 deg, I = 32, (3 1 1)
- 1.406 Å, 66.52 deg, I = 16, (2 2 2)
- 1.374 Å, 68.26 deg, I = 11, (1 1 3)

```
data_ScNbTcHg2
_chemical_formula_sum 'Sc1 Nb1 Tc1 Hg2'
_symmetry_space_group_name_H-M 'P 4/m m m'
_symmetry_Int_Tables_number 123
_symmetry_space_group_name_Hall '-P 4 2'
_cell_length_a 5.125
_cell_length_b 5.125
_cell_length_c 4.455
_cell_angle_alpha 90.00
_cell_angle_beta 90.00
_cell_angle_gamma 90.00
loop_
_atom_site_label
_atom_site_type_symbol
_atom_site_fract_x
_atom_site_fract_y
_atom_site_fract_z
Sc1 Sc 0.000 0.000 0.000
Nb1 Nb 0.500 0.500 0.500
Tc1 Tc 0.000 0.000 0.500
Hg1 Hg 0.000 0.500 0.000
```